Simulated X-ray diffraction stick pattern
Compound: Tl2Hg2Te5
Radiation: Cu Ka
Structure: a DFT-relaxed cell (PBE, Alexandria)
Neutral-atom scattering factors, no anomalous dispersion.

Principal peaks in the range 2θ from 10° to 80°, in order of rising 2θ:
| 2θ (°) | I (rel.) |
| --- | --- |
| 20.9 | 79.2 |
| 24.1 | 47.9 |
| 27.1 | 67.0 |
| 27.5 | 47.6 |
| 29.2 | 74.2 |
| 31.4 | 100.0 |
| 36.0 | 96.0 |
| 39.0 | 56.0 |
| 43.5 | 31.4 |
| 49.4 | 35.1 |

Structure:
Cell: 8.106 8.106 11.070 Å, 121.70 121.70 33.13°
Fractional positions:
Tl1 0.136 0.136 0.343
Tl2 0.864 0.864 0.657
Hg1 0.328 0.328 0.173
Hg2 0.672 0.672 0.827
Te1 0.102 0.102 0.930
Te2 0.397 0.397 0.472
Te3 0.500 0.500 0.000
Te4 0.603 0.603 0.528
Te5 0.898 0.898 0.070